The following is a theoretical X-ray powder pattern of Li8Mn3Fe5B8O24. It was derived from a DFT-relaxed cell (GGA+U, the Materials Project), using Cu Kα, 1.54184 Å.
Peak positions follow from Bragg's law for the DFT cell and can differ from measured ones.

Structure:
a b c (Å): 6.007 9.728 9.769
angles (deg): 64.98 79.56 78.60
Atoms (fractional coordinates):
Li 0.000 0.000 0.000
Li 0.001 0.500 0.501
Li 0.088 0.933 0.625
Li 0.089 0.432 0.127
Li 0.499 0.502 0.998
Li 0.501 0.001 0.501
Li 0.588 0.431 0.624
Li 0.592 0.932 0.128
Mn 0.231 0.671 0.191
Mn 0.359 0.260 0.936
Mn 0.860 0.761 0.936
Fe 0.226 0.174 0.682
Fe 0.362 0.762 0.442
Fe 0.727 0.173 0.185
Fe 0.727 0.669 0.685
Fe 0.862 0.257 0.435
B 0.211 0.599 0.773
B 0.213 0.097 0.275
B 0.376 0.834 0.850
B 0.383 0.332 0.350
B 0.710 0.100 0.773
B 0.714 0.597 0.278
B 0.878 0.834 0.355
B 0.879 0.333 0.852
O 0.031 0.719 0.744
O 0.032 0.218 0.251
O 0.057 0.212 0.874
O 0.058 0.713 0.381
O 0.205 0.831 0.968
O 0.212 0.331 0.469
O 0.220 0.483 0.916
O 0.223 0.979 0.417
O 0.364 0.953 0.708
O 0.371 0.449 0.208
O 0.384 0.101 0.158
O 0.384 0.600 0.656
O 0.528 0.220 0.745
O 0.535 0.718 0.253
O 0.556 0.713 0.874
O 0.561 0.210 0.377
O 0.704 0.831 0.471
O 0.711 0.331 0.972
O 0.720 0.984 0.916
O 0.726 0.478 0.419
O 0.864 0.452 0.711
O 0.869 0.952 0.212
O 0.883 0.105 0.655
O 0.884 0.600 0.159

Main lines, most intense first (2θ from 10° to 80°):
2θ/deg  Rel. int.
33.62  100
20.34  78
22.60  60
34.21  58
22.19  35
41.03  32

---

The following is a theoretical X-ray powder pattern of MgCo2Bi2O8. It was derived from a DFT-relaxed cell (GGA+U, the Materials Project), using Cu Kα, 1.54184 Å.
Peak positions follow from Bragg's law for the DFT cell and can differ from measured ones.

Structure:
a b c (Å): 6.338 6.338 6.338
angles (deg): 122.88 117.30 89.91
Atoms (fractional coordinates):
Mg 0.000 0.000 0.000
Co 0.603 0.359 0.756
Co 0.603 0.847 0.244
Bi 0.114 0.358 0.756
Bi 0.602 0.358 0.244
O 0.365 0.124 0.758
O 0.365 0.607 0.242
O 0.382 0.592 0.790
O 0.393 0.119 0.274
O 0.802 0.592 0.210
O 0.845 0.119 0.726
O 0.854 0.113 0.260
O 0.854 0.594 0.740

Main lines, most intense first (2θ from 10° to 80°):
2θ/deg  Rel. int.
17.66  100
32.48  52
40.43  31
33.42  23
58.34  23
33.74  22

---

The following is a theoretical X-ray powder pattern of MgV2Fe2O8. It was derived from a DFT-relaxed cell (GGA+U, the Materials Project), using Cu Kα, 1.54184 Å.
Peak positions follow from Bragg's law for the DFT cell and can differ from measured ones.

Structure:
a b c (Å): 5.292 6.472 5.293
angles (deg): 90.00 114.78 90.00
Atoms (fractional coordinates):
Mg 0.000 0.000 0.000
V 0.012 0.500 0.982
V 0.308 0.000 0.688
Fe 0.654 0.256 0.342
Fe 0.654 0.744 0.342
O 0.376 0.500 0.117
O 0.419 0.207 0.573
O 0.419 0.793 0.573
O 0.420 0.000 0.066
O 0.876 0.500 0.617
O 0.902 0.275 0.093
O 0.902 0.725 0.093
O 0.931 0.000 0.578

Main lines, most intense first (2θ from 10° to 80°):
2θ/deg  Rel. int.
33.38  100
34.01  61
31.36  46
59.92  41
23.05  40
24.24  27

---

- Which formula does entry 2 have?
  MgCo2Bi2O8

---

- What is the formula in the third record?
  MgV2Fe2O8

---

- What is the formula in the third record?
  MgV2Fe2O8